The following is a calculated powder diffractogram of Na4ClF3. It was derived from a structure optimized by DFT (PBE), using Cu Kα X-rays.

Principal peaks in the range 5° ≤ 2θ ≤ 70°, in order of rising 2θ:
| 2theta | intensity |
| --- | --- |
| 30.12 | 18 |
| 33.58 | 82 |
| 37.50 | 16 |
| 42.47 | 100 |
| 53.49 | 47 |
| 64.65 | 10 |

Lattice parameters (Å, degrees): 3.426 3.426 12.218 90.00 90.00 120.00
Atoms (fractional coordinates):
1 Na 0.333 0.667 0.347
2 Na 0.333 0.667 0.884
3 Na 0.667 0.333 0.116
4 Na 0.667 0.333 0.653
5 Cl 0.000 0.000 0.500
6 F 0.000 0.000 0.000
7 F 0.000 0.000 0.233
8 F 0.000 0.000 0.767

=====

The following is a calculated powder diffractogram of LiBRu. It was derived from a structure optimized by DFT (PBE), using Cu Kα X-rays.

Principal peaks in the range 5° ≤ 2θ ≤ 70°, in order of rising 2θ:
| 2theta | intensity |
| --- | --- |
| 12.83 | 100 |
| 30.96 | 66 |
| 34.49 | 14 |
| 36.94 | 42 |
| 42.89 | 41 |
| 52.70 | 24 |

Lattice parameters (Å, degrees): 7.185 7.185 7.185 27.98 27.98 27.98
Atoms (fractional coordinates):
1 Li 0.132 0.132 0.132
2 Li 0.868 0.868 0.868
3 B 0.403 0.403 0.403
4 B 0.597 0.597 0.597
5 Ru 0.288 0.288 0.288
6 Ru 0.712 0.712 0.712

=====

The following is a calculated powder diffractogram of CsUNbO6. It was derived from a structure optimized by DFT (PBE), using Cu Kα X-rays.

Principal peaks in the range 5° ≤ 2θ ≤ 70°, in order of rising 2θ:
| 2theta | intensity |
| --- | --- |
| 11.71 | 100 |
| 23.40 | 90 |
| 23.55 | 57 |
| 24.97 | 39 |
| 27.43 | 88 |
| 41.34 | 35 |

Lattice parameters (Å, degrees): 7.771 8.797 10.789 90.00 103.56 90.00
Atoms (fractional coordinates):
1 Cs 0.033 0.227 0.356
2 Cs 0.033 0.273 0.856
3 Cs 0.967 0.727 0.144
4 Cs 0.967 0.773 0.644
5 U 0.489 0.017 0.178
6 U 0.489 0.483 0.678
7 U 0.511 0.517 0.322
8 U 0.511 0.983 0.822
9 Nb 0.388 0.650 0.944
10 Nb 0.388 0.850 0.444
11 Nb 0.612 0.150 0.556
12 Nb 0.612 0.350 0.056
13 O 0.155 0.632 0.929
14 O 0.155 0.868 0.429
15 O 0.252 0.060 0.130
16 O 0.252 0.440 0.630
17 O 0.273 0.023 0.772
18 O 0.273 0.477 0.272
19 O 0.429 0.713 0.779
20 O 0.429 0.787 0.279
21 O 0.464 0.646 0.505
22 O 0.464 0.854 0.005
23 O 0.471 0.058 0.389
24 O 0.471 0.442 0.889
25 O 0.529 0.558 0.111
26 O 0.529 0.942 0.611
27 O 0.536 0.146 0.995
28 O 0.536 0.354 0.495
29 O 0.571 0.213 0.721
30 O 0.571 0.287 0.221
31 O 0.727 0.523 0.728
32 O 0.727 0.977 0.228
33 O 0.748 0.560 0.370
34 O 0.748 0.940 0.870
35 O 0.845 0.132 0.571
36 O 0.845 0.368 0.071

=====

The following is a calculated powder diffractogram of Ta3PbO9. It was derived from a structure optimized by DFT (PBE), using Cu Kα X-rays.

Principal peaks in the range 5° ≤ 2θ ≤ 70°, in order of rising 2θ:
| 2theta | intensity |
| --- | --- |
| 26.24 | 100 |
| 27.16 | 84 |
| 28.43 | 52 |
| 30.19 | 51 |
| 30.60 | 84 |
| 32.58 | 58 |

Lattice parameters (Å, degrees): 5.499 7.649 8.408 90.00 92.00 90.00
Atoms (fractional coordinates):
1 Ta 0.000 0.000 0.000
2 Ta 0.000 0.500 0.000
3 Ta 0.475 0.005 0.700
4 Ta 0.475 0.495 0.700
5 Ta 0.525 0.505 0.300
6 Ta 0.525 0.995 0.300
7 Pb 0.035 0.250 0.444
8 Pb 0.965 0.750 0.556
9 O 0.078 0.250 0.984
10 O 0.168 0.554 0.795
11 O 0.168 0.946 0.795
12 O 0.272 0.536 0.474
13 O 0.272 0.964 0.474
14 O 0.308 0.543 0.128
15 O 0.308 0.957 0.128
16 O 0.370 0.250 0.667
17 O 0.436 0.250 0.316
18 O 0.564 0.750 0.684
19 O 0.630 0.750 0.333
20 O 0.692 0.043 0.872
21 O 0.692 0.457 0.872
22 O 0.728 0.036 0.526
23 O 0.728 0.464 0.526
24 O 0.832 0.054 0.205
25 O 0.832 0.446 0.205
26 O 0.922 0.750 0.016

=====

The following is a calculated powder diffractogram of NaPmCoH6. It was derived from a structure optimized by DFT (PBE), using Cu Kα X-rays.

Principal peaks in the range 5° ≤ 2θ ≤ 70°, in order of rising 2θ:
| 2theta | intensity |
| --- | --- |
| 21.62 | 45 |
| 30.56 | 100 |
| 37.92 | 49 |
| 49.05 | 28 |
| 49.46 | 28 |
| 63.97 | 24 |

Lattice parameters (Å, degrees): 4.746 4.746 4.164 90.00 90.00 120.00
Atoms (fractional coordinates):
1 Na 0.000 0.000 0.000
2 Pm 0.667 0.333 0.487
3 Co 0.333 0.667 0.764
4 H 0.003 0.502 0.974
5 H 0.176 0.351 0.541
6 H 0.176 0.824 0.541
7 H 0.498 0.502 0.974
8 H 0.498 0.997 0.974
9 H 0.649 0.824 0.541

=====

The following is a calculated powder diffractogram of PmCBr. It was derived from a structure optimized by DFT (PBE), using Cu Kα X-rays.

Principal peaks in the range 5° ≤ 2θ ≤ 70°, in order of rising 2θ:
| 2theta | intensity |
| --- | --- |
| 8.10 | 100 |
| 25.70 | 32 |
| 28.48 | 50 |
| 30.08 | 24 |
| 31.01 | 70 |
| 43.74 | 27 |

Lattice parameters (Å, degrees): 3.940 4.153 10.942 86.49 89.89 61.68
Atoms (fractional coordinates):
1 Pm 0.143 0.212 0.136
2 Pm 0.857 0.788 0.864
3 C 0.425 0.649 0.031
4 C 0.575 0.351 0.969
5 Br 0.182 0.139 0.689
6 Br 0.818 0.861 0.311

=====

The following is a calculated powder diffractogram of PaIn2PdO8. It was derived from a structure optimized by DFT (PBE), using Cu Kα X-rays.

Principal peaks in the range 5° ≤ 2θ ≤ 70°, in order of rising 2θ:
| 2theta | intensity |
| --- | --- |
| 25.29 | 60 |
| 25.72 | 56 |
| 32.44 | 100 |
| 36.39 | 29 |
| 49.29 | 41 |
| 49.78 | 38 |

Lattice parameters (Å, degrees): 4.938 6.656 4.940 90.00 90.94 90.00
Atoms (fractional coordinates):
1 Pa 0.000 0.000 0.000
2 In 0.500 0.257 0.500
3 In 0.500 0.743 0.500
4 Pd 0.000 0.500 0.000
5 O 0.189 0.265 0.812
6 O 0.189 0.735 0.812
7 O 0.287 0.500 0.289
8 O 0.306 0.000 0.308
9 O 0.694 0.000 0.692
10 O 0.713 0.500 0.711
11 O 0.811 0.265 0.188
12 O 0.811 0.735 0.188

=====

The following is a calculated powder diffractogram of BaCu2P2. It was derived from a structure optimized by DFT (PBE), using Cu Kα X-rays.

Principal peaks in the range 5° ≤ 2θ ≤ 70°, in order of rising 2θ:
| 2theta | intensity |
| --- | --- |
| 30.67 | 100 |
| 34.34 | 62 |
| 35.15 | 82 |
| 35.61 | 31 |
| 44.22 | 34 |
| 53.03 | 30 |

Lattice parameters (Å, degrees): 9.031 4.097 10.502 90.00 90.00 90.00
Atoms (fractional coordinates):
1 Ba 0.243 0.250 0.169
2 Ba 0.257 0.750 0.669
3 Ba 0.743 0.250 0.331
4 Ba 0.757 0.750 0.831
5 Cu 0.042 0.250 0.872
6 Cu 0.090 0.250 0.455
7 Cu 0.410 0.750 0.955
8 Cu 0.458 0.750 0.372
9 Cu 0.542 0.250 0.628
10 Cu 0.590 0.250 0.045
11 Cu 0.910 0.750 0.545
12 Cu 0.958 0.750 0.128
13 P 0.033 0.750 0.346
14 P 0.132 0.750 0.951
15 P 0.368 0.250 0.451
16 P 0.467 0.250 0.846
17 P 0.533 0.750 0.154
18 P 0.632 0.750 0.549
19 P 0.868 0.250 0.049
20 P 0.967 0.250 0.654